# 1
Simulated powder XRD pattern
Compound: EuV2BiO8
Radiation: λ = 1.5418 Å (Cu Kα)
Structure: DFT lattice parameters and positions (GGA+U)

Crystal structure
```
EuV2BiO8
1.0
-3.6824 3.6824 3.2500
3.6824 -3.6824 3.2500
3.6824 3.6824 -3.2500
Eu V Bi O
1 2 1 8
Cartesian
0.0000 0.0000 0.0000 Eu
3.6824 0.0000 1.6250 V
0.0000 0.0000 3.2500 V
0.0000 3.6824 1.6250 Bi
2.3375 0.0000 0.5113 O
5.0272 0.0000 0.5113 O
3.6824 2.3391 -1.1103 O
3.6824 -1.3449 2.7387 O
0.0000 1.3432 2.1397 O
3.6824 1.3449 2.7387 O
2.3391 3.6824 1.1103 O
1.3432 0.0000 4.3603 O
```

Peak list (10 most intense, 2θ from 5° to 70°, sorted by position)
2θ (°)  I_rel
18.20  49
24.17  100
30.42  20
32.47  74
34.44  24
39.23  17
46.61  16
48.06  61
49.51  16
60.46  18

=====

# 2
Simulated powder XRD pattern
Compound: EuZnBiWO6
Radiation: λ = 1.5418 Å (Cu Kα)
Structure: DFT lattice parameters and positions (GGA+U)

Crystal structure
```
EuZnBiWO6
1.0
0.0000 4.0381 4.0381
4.0381 0.0000 4.0381
4.0381 4.0381 0.0000
Eu Zn Bi W O
1 1 1 1 6
Cartesian
0.0000 0.0000 0.0000 Eu
2.0190 2.0190 2.0190 Zn
4.0381 4.0381 4.0381 Bi
6.0571 6.0571 6.0571 W
6.0571 6.0571 4.0996 O
6.0571 4.0996 6.0571 O
8.0147 6.0571 6.0571 O
4.0996 6.0571 6.0571 O
6.0571 8.0147 6.0571 O
6.0571 6.0571 8.0147 O
```

Peak list (10 most intense, 2θ from 5° to 70°, sorted by position)
2θ (°)  I_rel
19.03  11
31.33  100
36.91  6
38.62  5
44.89  28
49.17  2
55.76  41
59.47  2
65.36  17
68.77  2

=====

# 3
Simulated powder XRD pattern
Compound: FeBi6P2O14F2
Radiation: λ = 1.5418 Å (Cu Kα)
Structure: DFT lattice parameters and positions (GGA+U)

Crystal structure
```
FeBi6P2O14F2
1.0
8.3983 -2.7994 0.0000
8.3983 2.7994 0.0000
-5.8116 0.0000 15.9559
Fe Bi P O F
2 12 4 28 4
Cartesian
0.0000 0.0000 0.0000 Fe
-2.9058 0.0000 7.9779 Fe
-0.0474 0.0027 5.2151 Bi
-2.9532 -0.0027 13.1930 Bi
2.3806 0.1878 2.6452 Bi
-0.5252 -0.1878 10.6231 Bi
2.5568 0.0587 13.1964 Bi
5.4626 -0.0587 5.2184 Bi
5.5225 0.0587 10.7375 Bi
8.4283 -0.0587 2.7595 Bi
11.5102 0.1878 5.3327 Bi
8.6044 -0.1878 13.3107 Bi
13.9383 0.0027 2.7629 Bi
11.0325 -0.0027 10.7408 Bi
0.1881 0.0558 15.8955 P
3.0939 -0.0558 7.9175 P
7.8911 0.0558 8.0384 P
10.7969 -0.0558 0.0604 P
2.2656 2.1650 14.1224 O
4.1609 1.4847 3.8746 O
1.2431 1.2999 11.8241 O
5.8137 2.1650 9.8114 O
3.8943 1.2266 7.7454 O
-0.4369 0.5257 14.5790 O
6.6680 1.1471 0.7947 O
6.9454 1.5860 3.9890 O
4.0396 1.2006 11.9669 O
7.2229 1.1471 7.1833 O
9.9965 1.2266 0.2325 O
2.4689 -0.5257 6.6011 O
9.7300 1.4847 4.1034 O
6.8362 1.2999 12.1098 O
4.1488 -1.2999 3.8461 O
1.2551 -1.4847 11.8525 O
8.5162 0.5257 9.3548 O
0.9885 -1.2266 15.7234 O
3.7622 -1.1471 8.7726 O
6.9454 -1.2006 3.9890 O
4.0396 -1.5860 11.9669 O
4.3171 -1.1471 15.1612 O
11.4220 -0.5257 1.3769 O
7.0907 -1.2266 8.2105 O
5.1714 -2.1650 6.1445 O
9.7420 -1.2999 4.1318 O
6.8242 -1.4847 12.0813 O
8.7195 -2.1650 1.8335 O
1.8266 0.3743 8.8407 F
4.7324 -0.3743 0.8628 F
6.2526 0.3743 15.0931 F
9.1584 -0.3743 7.1151 F
```

Peak list (10 most intense, 2θ from 5° to 70°, sorted by position)
2θ (°)  I_rel
11.09  66
23.20  24
27.97  100
28.23  99
31.97  55
33.73  35
35.98  21
45.84  27
47.15  35
54.71  17

=====

# 4
Simulated powder XRD pattern
Compound: GaFeBi2O6
Radiation: λ = 1.5418 Å (Cu Kα)
Structure: DFT lattice parameters and positions (GGA+U)

Crystal structure
```
GaFeBi2O6
1.0
3.7501 0.0000 0.0000
0.1369 5.9326 0.0000
0.1739 1.3942 5.9480
Ga Fe Bi O
1 1 2 6
Cartesian
0.0000 0.0000 0.0000 Ga
0.1817 3.7684 3.0530 Fe
1.9352 6.5430 2.6723 Bi
1.9609 4.2247 5.6605 Bi
0.1945 3.0382 4.8723 O
0.1862 5.3217 1.8930 O
0.3523 5.8428 4.8621 O
0.2061 2.2271 1.9446 O
1.8963 0.5186 0.4181 O
2.0538 4.1425 3.3748 O
```

Peak list (10 most intense, 2θ from 5° to 70°, sorted by position)
2θ (°)  I_rel
18.81  50
23.77  43
30.00  100
30.96  93
33.79  34
33.93  36
38.17  31
44.77  21
48.58  19
48.70  19

=====

# 5
Simulated powder XRD pattern
Compound: GdFe4Bi3O12
Radiation: λ = 1.5418 Å (Cu Kα)
Structure: DFT lattice parameters and positions (GGA+U)

Crystal structure
```
GdFe4Bi3O12
1.0
5.4804 0.0000 0.0000
0.0000 7.8633 0.0000
-0.0165 0.0000 5.7100
Gd Fe Bi O
1 4 3 12
Cartesian
0.0000 0.0000 0.0000 Gd
0.0507 1.9572 3.1778 Fe
0.0507 5.9061 3.1778 Fe
2.8037 1.9469 0.3380 Fe
2.8037 5.9163 0.3380 Fe
0.0963 3.9316 0.6160 Bi
2.7271 3.9316 3.4796 Bi
2.8504 0.0000 2.8953 Bi
0.5959 0.0000 3.4083 O
1.1096 2.3182 4.9322 O
1.1096 5.5451 4.9322 O
1.7496 2.3350 2.0716 O
1.7496 5.5282 2.0716 O
2.2408 0.0000 0.4911 O
3.3307 3.9316 0.1745 O
3.8889 1.5441 4.3545 O
3.8889 6.3192 4.3545 O
4.4941 1.5568 1.4401 O
4.4941 6.3065 1.4401 O
4.9889 3.9316 3.0165 O
```

Peak list (10 most intense, 2θ from 5° to 70°, sorted by position)
2θ (°)  I_rel
22.49  29
22.62  17
25.21  14
31.33  21
32.11  100
32.68  25
40.11  14
46.18  14
52.19  15
57.96  23

=====

# 6
Simulated powder XRD pattern
Compound: GdFe2BiO6
Radiation: λ = 1.5418 Å (Cu Kα)
Structure: DFT lattice parameters and positions (GGA+U)

Crystal structure
```
GdFe2BiO6
1.0
7.6602 0.0000 0.0000
0.0000 5.3507 0.0000
0.0000 0.0000 5.5846
Gd Fe Bi O
2 4 2 12
Cartesian
0.0000 1.2620 0.0000 Gd
0.0000 4.0887 2.7923 Gd
1.8903 1.3349 3.1241 Fe
1.8903 4.0158 0.3318 Fe
5.7699 1.3349 3.1241 Fe
5.7699 4.0158 0.3318 Fe
3.8301 1.4012 0.6200 Bi
3.8301 3.9495 3.4123 Bi
0.0000 1.8400 3.2939 O
0.0000 3.5107 0.5016 O
1.5241 0.2815 1.4565 O
1.5241 5.0692 4.2488 O
2.2135 2.3736 4.8035 O
2.2135 2.9771 2.0112 O
3.8301 0.8608 2.9870 O
3.8301 4.4899 0.1947 O
5.4467 2.3736 4.8035 O
5.4467 2.9771 2.0112 O
6.1360 0.2815 1.4565 O
6.1360 5.0692 4.2488 O
```

Peak list (10 most intense, 2θ from 5° to 70°, sorted by position)
2θ (°)  I_rel
23.02  26
23.22  15
25.83  18
32.05  21
32.93  100
33.50  25
47.04  20
47.48  14
53.45  22
59.52  22

=====

# 7
Simulated powder XRD pattern
Compound: KLaFeBiO6
Radiation: λ = 1.5418 Å (Cu Kα)
Structure: DFT lattice parameters and positions (GGA+U)

Crystal structure
```
KLaFeBiO6
1.0
0.0000 4.0963 4.0963
4.0963 0.0000 4.0963
4.0963 4.0963 0.0000
K La Fe Bi O
1 1 1 1 6
Cartesian
0.0000 0.0000 0.0000 K
4.0963 4.0963 4.0963 La
6.1445 6.1445 6.1445 Fe
2.0482 2.0482 2.0482 Bi
6.1445 6.1445 4.1464 O
6.1445 4.1464 6.1445 O
8.1426 6.1445 6.1445 O
4.1464 6.1445 6.1445 O
6.1445 8.1426 6.1445 O
6.1445 6.1445 8.1426 O
```

Peak list (10 most intense, 2θ from 5° to 70°, sorted by position)
2θ (°)  I_rel
18.76  38
21.70  11
30.87  100
36.37  24
44.22  32
48.43  12
54.90  40
58.54  9
64.32  19
67.66  9

=====

# 8
Simulated powder XRD pattern
Compound: KNdFeBiO6
Radiation: λ = 1.5418 Å (Cu Kα)
Structure: DFT lattice parameters and positions (GGA+U)

Crystal structure
```
KNdFeBiO6
1.0
0.0000 4.0818 4.0818
4.0818 0.0000 4.0818
4.0818 4.0818 0.0000
K Nd Fe Bi O
1 1 1 1 6
Cartesian
0.0000 0.0000 0.0000 K
4.0818 4.0818 4.0818 Nd
6.1227 6.1227 6.1227 Fe
2.0409 2.0409 2.0409 Bi
6.1227 6.1227 4.1319 O
6.1227 4.1319 6.1227 O
8.1136 6.1227 6.1227 O
4.1319 6.1227 6.1227 O
6.1227 8.1136 6.1227 O
6.1227 6.1227 8.1136 O
```

Peak list (10 most intense, 2θ from 5° to 70°, sorted by position)
2θ (°)  I_rel
18.83  38
21.77  9
30.98  100
36.50  25
44.39  31
48.61  12
55.11  40
58.77  9
64.58  19
67.93  9

=====

# 9
Simulated powder XRD pattern
Compound: KPrFeBiO6
Radiation: λ = 1.5418 Å (Cu Kα)
Structure: DFT lattice parameters and positions (GGA+U)

Crystal structure
```
KPrFeBiO6
1.0
0.0000 4.0901 4.0901
4.0901 0.0000 4.0901
4.0901 4.0901 0.0000
K Pr Fe Bi O
1 1 1 1 6
Cartesian
0.0000 0.0000 0.0000 K
4.0901 4.0901 4.0901 Pr
6.1352 6.1352 6.1352 Fe
2.0451 2.0451 2.0451 Bi
6.1352 6.1352 4.1411 O
6.1352 4.1411 6.1352 O
8.1293 6.1352 6.1352 O
4.1411 6.1352 6.1352 O
6.1352 8.1293 6.1352 O
6.1352 6.1352 8.1293 O
```

Peak list (10 most intense, 2θ from 5° to 70°, sorted by position)
2θ (°)  I_rel
18.79  38
21.73  9
30.92  100
36.43  25
44.29  32
48.51  12
54.99  40
58.64  9
64.43  19
67.77  9